Diffraction record for K4In9Si14. The PXRD pattern is theoretical, not measured: it uses a DFT-relaxed cell (PBE, the Materials Project) and Cu Kα (λ = 1.5418 Å).
Intensities are scaled so that the largest is 100.

Atomic structure:
```
data_K4In9Si14
_cell_length_a 11.000
_cell_length_b 11.229
_cell_length_c 11.229
_cell_angle_alpha 90.19
_cell_angle_beta 90.00
_cell_angle_gamma 90.00
_space_group_name_H-M_alt 'P 1'
_space_group_IT_number 1
loop_
_space_group_symop_operation_xyz
'x,y,z'
loop_
_atom_site_label
_atom_site_type_symbol
_atom_site_fract_x
_atom_site_fract_y
_atom_site_fract_z
K1 K 0.000 0.000 0.000
K2 K 0.250 0.000 0.499
K3 K 0.250 0.500 0.248
K4 K 0.250 0.500 0.752
K5 K 0.500 0.000 0.000
K6 K 0.750 0.248 0.500
K7 K 0.750 0.499 0.000
K8 K 0.750 0.752 0.500
In1 In 0.074 0.180 0.324
In2 In 0.074 0.822 0.325
In3 In 0.074 0.822 0.673
In4 In 0.075 0.180 0.673
In5 In 0.250 0.750 0.000
In6 In 0.425 0.180 0.673
In7 In 0.426 0.180 0.324
In8 In 0.426 0.822 0.325
In9 In 0.426 0.822 0.673
In10 In 0.574 0.324 0.180
In11 In 0.574 0.325 0.822
In12 In 0.574 0.673 0.822
In13 In 0.575 0.673 0.180
In14 In 0.750 0.000 0.750
In15 In 0.925 0.673 0.180
In16 In 0.926 0.324 0.180
In17 In 0.926 0.325 0.822
In18 In 0.926 0.673 0.822
Si1 Si 0.000 0.499 0.499
Si2 Si 0.066 0.595 0.001
Si3 Si 0.075 0.384 0.002
Si4 Si 0.140 0.669 0.498
Si5 Si 0.141 0.331 0.498
Si6 Si 0.250 0.116 0.174
Si7 Si 0.250 0.116 0.825
Si8 Si 0.250 0.249 0.000
Si9 Si 0.250 0.904 0.183
Si10 Si 0.250 0.904 0.817
Si11 Si 0.359 0.331 0.498
Si12 Si 0.360 0.669 0.498
Si13 Si 0.425 0.384 0.002
Si14 Si 0.434 0.595 0.001
Si15 Si 0.500 0.499 0.499
Si16 Si 0.566 0.001 0.595
Si17 Si 0.575 0.002 0.384
Si18 Si 0.640 0.498 0.669
Si19 Si 0.641 0.498 0.331
Si20 Si 0.750 0.000 0.249
Si21 Si 0.750 0.174 0.116
Si22 Si 0.750 0.183 0.904
Si23 Si 0.750 0.817 0.904
Si24 Si 0.750 0.825 0.116
Si25 Si 0.859 0.498 0.331
Si26 Si 0.860 0.498 0.669
Si27 Si 0.925 0.002 0.384
Si28 Si 0.934 0.001 0.595
```

Largest 10 diffraction maxima, by angle, 2θ = 10–90°:
- 15.8 deg, d = 5.615 Å, intensity 61.8
- 25.1 deg, d = 3.547 Å, intensity 79.2
- 25.6 deg, d = 3.486 Å, intensity 42.7
- 27.7 deg, d = 3.219 Å, intensity 63.7
- 29.8 deg, d = 2.997 Å, intensity 86.3
- 30.0 deg, d = 2.983 Å, intensity 65.8
- 30.2 deg, d = 2.961 Å, intensity 81.8
- 34.2 deg, d = 2.619 Å, intensity 100.0
- 47.5 deg, d = 1.916 Å, intensity 51.0
- 48.0 deg, d = 1.897 Å, intensity 39.1

Diffraction record for Tc2P3. The PXRD pattern is theoretical, not measured: it uses a DFT-relaxed cell (PBE, the Materials Project) and Cu Kα (λ = 1.5418 Å).
Intensities are scaled so that the largest is 100.

Atomic structure:
```
data_Tc2P3
_cell_length_a 6.397
_cell_length_b 6.397
_cell_length_c 9.045
_cell_angle_alpha 122.71
_cell_angle_beta 122.71
_cell_angle_gamma 28.18
_space_group_name_H-M_alt 'P 1'
_space_group_IT_number 1
loop_
_space_group_symop_operation_xyz
'x,y,z'
loop_
_atom_site_label
_atom_site_type_symbol
_atom_site_fract_x
_atom_site_fract_y
_atom_site_fract_z
Tc1 Tc 0.134 0.134 0.355
Tc2 Tc 0.250 0.250 0.137
Tc3 Tc 0.750 0.750 0.863
Tc4 Tc 0.866 0.866 0.645
P1 P 0.089 0.089 0.822
P2 P 0.390 0.390 0.460
P3 P 0.402 0.402 0.871
P4 P 0.598 0.598 0.129
P5 P 0.610 0.610 0.540
P6 P 0.911 0.911 0.178
```

Largest 10 diffraction maxima, by angle, 2θ = 10–90°:
- 17.2 deg, d = 5.152 Å, intensity 67.5
- 25.9 deg, d = 3.446 Å, intensity 53.4
- 29.7 deg, d = 3.004 Å, intensity 49.8
- 30.4 deg, d = 2.938 Å, intensity 39.9
- 34.1 deg, d = 2.630 Å, intensity 69.8
- 37.3 deg, d = 2.409 Å, intensity 100.0
- 41.0 deg, d = 2.203 Å, intensity 40.8
- 43.3 deg, d = 2.090 Å, intensity 48.7
- 46.8 deg, d = 1.941 Å, intensity 80.4
- 53.9 deg, d = 1.702 Å, intensity 62.5

Diffraction record for Cs2YInF6. The PXRD pattern is theoretical, not measured: it uses a DFT-relaxed cell (PBE, the Materials Project) and Cu Kα (λ = 1.5418 Å).
Intensities are scaled so that the largest is 100.

Atomic structure:
```
data_Cs2YInF6
_cell_length_a 6.897
_cell_length_b 6.897
_cell_length_c 6.897
_cell_angle_alpha 60.00
_cell_angle_beta 60.00
_cell_angle_gamma 60.00
_space_group_name_H-M_alt 'P 1'
_space_group_IT_number 1
loop_
_space_group_symop_operation_xyz
'x,y,z'
loop_
_atom_site_label
_atom_site_type_symbol
_atom_site_fract_x
_atom_site_fract_y
_atom_site_fract_z
Cs1 Cs 0.250 0.250 0.250
Cs2 Cs 0.750 0.750 0.750
Y1 Y 0.000 0.000 0.000
In1 In 0.500 0.500 0.500
F1 F 0.225 0.225 0.775
F2 F 0.225 0.775 0.225
F3 F 0.225 0.775 0.775
F4 F 0.775 0.225 0.225
F5 F 0.775 0.225 0.775
F6 F 0.775 0.775 0.225
```

Largest 10 diffraction maxima, by angle, 2θ = 10–90°:
- 25.8 deg, d = 3.448 Å, intensity 100.0
- 31.8 deg, d = 2.816 Å, intensity 5.8
- 36.9 deg, d = 2.438 Å, intensity 35.0
- 45.6 deg, d = 1.991 Å, intensity 41.4
- 53.1 deg, d = 1.724 Å, intensity 22.5
- 60.0 deg, d = 1.542 Å, intensity 20.0
- 66.4 deg, d = 1.408 Å, intensity 7.2
- 72.5 deg, d = 1.303 Å, intensity 22.3
- 84.2 deg, d = 1.149 Å, intensity 10.9
- 90.0 deg, d = 1.090 Å, intensity 9.2

Diffraction record for Co2MoS4. The PXRD pattern is theoretical, not measured: it uses a DFT-relaxed cell (PBE, the Materials Project) and Cu Kα (λ = 1.5418 Å).
Intensities are scaled so that the largest is 100.

Atomic structure:
```
data_Co2MoS4
_cell_length_a 5.047
_cell_length_b 5.047
_cell_length_c 10.310
_cell_angle_alpha 90.00
_cell_angle_beta 90.00
_cell_angle_gamma 90.00
_space_group_name_H-M_alt 'P 1'
_space_group_IT_number 1
loop_
_space_group_symop_operation_xyz
'x,y,z'
loop_
_atom_site_label
_atom_site_type_symbol
_atom_site_fract_x
_atom_site_fract_y
_atom_site_fract_z
Co1 Co 0.000 0.000 0.000
Co2 Co 0.000 0.500 0.250
Co3 Co 0.500 0.000 0.750
Co4 Co 0.500 0.500 0.500
Mo1 Mo 0.000 0.000 0.500
Mo2 Mo 0.500 0.500 0.000
S1 S 0.235 0.753 0.127
S2 S 0.247 0.235 0.873
S3 S 0.253 0.265 0.373
S4 S 0.265 0.747 0.627
S5 S 0.735 0.253 0.627
S6 S 0.747 0.735 0.373
S7 S 0.753 0.765 0.873
S8 S 0.765 0.247 0.127
```

Largest 10 diffraction maxima, by angle, 2θ = 10–90°:
- 17.2 deg, d = 5.155 Å, intensity 13.5
- 19.6 deg, d = 4.533 Å, intensity 23.9
- 25.0 deg, d = 3.569 Å, intensity 12.0
- 30.5 deg, d = 2.934 Å, intensity 100.0
- 39.8 deg, d = 2.266 Å, intensity 7.2
- 50.6 deg, d = 1.803 Å, intensity 40.7
- 51.2 deg, d = 1.784 Å, intensity 19.5
- 59.7 deg, d = 1.548 Å, intensity 12.9
- 60.8 deg, d = 1.524 Å, intensity 26.4
- 82.5 deg, d = 1.169 Å, intensity 10.0

Diffraction record for TbNi5. The PXRD pattern is theoretical, not measured: it uses a DFT-relaxed cell (PBE, the Materials Project) and Cu Kα (λ = 1.5418 Å).
Intensities are scaled so that the largest is 100.

Atomic structure:
```
data_TbNi5
_cell_length_a 4.873
_cell_length_b 4.873
_cell_length_c 3.940
_cell_angle_alpha 90.00
_cell_angle_beta 90.00
_cell_angle_gamma 120.00
_space_group_name_H-M_alt 'P 1'
_space_group_IT_number 1
loop_
_space_group_symop_operation_xyz
'x,y,z'
loop_
_atom_site_label
_atom_site_type_symbol
_atom_site_fract_x
_atom_site_fract_y
_atom_site_fract_z
Tb1 Tb 0.000 0.000 0.000
Ni1 Ni 0.000 0.500 0.500
Ni2 Ni 0.333 0.667 0.000
Ni3 Ni 0.500 0.000 0.500
Ni4 Ni 0.500 0.500 0.500
Ni5 Ni 0.667 0.333 0.000
```

Largest 10 diffraction maxima, by angle, 2θ = 10–90°:
- 31.1 deg, d = 2.880 Å, intensity 51.1
- 36.9 deg, d = 2.437 Å, intensity 32.3
- 42.9 deg, d = 2.110 Å, intensity 35.2
- 43.7 deg, d = 2.072 Å, intensity 100.0
- 46.1 deg, d = 1.970 Å, intensity 26.6
- 60.4 deg, d = 1.532 Å, intensity 15.0
- 64.7 deg, d = 1.440 Å, intensity 19.9
- 71.2 deg, d = 1.325 Å, intensity 22.0
- 78.5 deg, d = 1.218 Å, intensity 15.3
- 83.6 deg, d = 1.156 Å, intensity 14.1

Diffraction record for CaCeMg2. The PXRD pattern is theoretical, not measured: it uses a DFT-relaxed cell (PBE, the Materials Project) and Cu Kα (λ = 1.5418 Å).
Intensities are scaled so that the largest is 100.

Atomic structure:
```
data_CaCeMg2
_cell_length_a 7.866
_cell_length_b 7.866
_cell_length_c 7.866
_cell_angle_alpha 90.00
_cell_angle_beta 90.00
_cell_angle_gamma 90.00
_space_group_name_H-M_alt 'P 1'
_space_group_IT_number 1
loop_
_space_group_symop_operation_xyz
'x,y,z'
loop_
_atom_site_label
_atom_site_type_symbol
_atom_site_fract_x
_atom_site_fract_y
_atom_site_fract_z
Ca1 Ca 0.000 0.000 0.000
Ca2 Ca 0.000 0.500 0.500
Ca3 Ca 0.500 0.000 0.500
Ca4 Ca 0.500 0.500 0.000
Ce1 Ce 0.000 0.000 0.500
Ce2 Ce 0.000 0.500 0.000
Ce3 Ce 0.500 0.000 0.000
Ce4 Ce 0.500 0.500 0.500
Mg1 Mg 0.250 0.250 0.250
Mg2 Mg 0.250 0.250 0.750
Mg3 Mg 0.250 0.750 0.250
Mg4 Mg 0.250 0.750 0.750
Mg5 Mg 0.750 0.250 0.250
Mg6 Mg 0.750 0.250 0.750
Mg7 Mg 0.750 0.750 0.250
Mg8 Mg 0.750 0.750 0.750
```

Largest 10 diffraction maxima, by angle, 2θ = 10–90°:
- 19.5 deg, d = 4.542 Å, intensity 38.2
- 22.6 deg, d = 3.933 Å, intensity 38.0
- 32.2 deg, d = 2.781 Å, intensity 100.0
- 37.9 deg, d = 2.372 Å, intensity 22.2
- 39.7 deg, d = 2.271 Å, intensity 11.5
- 46.2 deg, d = 1.967 Å, intensity 17.9
- 52.0 deg, d = 1.759 Å, intensity 15.7
- 57.4 deg, d = 1.606 Å, intensity 36.7
- 67.3 deg, d = 1.391 Å, intensity 11.1
- 76.6 deg, d = 1.244 Å, intensity 15.2

Diffraction record for MnB2H8. The PXRD pattern is theoretical, not measured: it uses a DFT-relaxed cell (PBE, the Materials Project) and Cu Kα (λ = 1.5418 Å).
Intensities are scaled so that the largest is 100.

Atomic structure:
```
data_MnB2H8
_cell_length_a 5.600
_cell_length_b 5.600
_cell_length_c 5.953
_cell_angle_alpha 90.00
_cell_angle_beta 90.00
_cell_angle_gamma 90.00
_space_group_name_H-M_alt 'P 1'
_space_group_IT_number 1
loop_
_space_group_symop_operation_xyz
'x,y,z'
loop_
_atom_site_label
_atom_site_type_symbol
_atom_site_fract_x
_atom_site_fract_y
_atom_site_fract_z
Mn1 Mn 0.000 0.000 0.000
Mn2 Mn 0.500 0.500 0.500
B1 B 0.248 0.252 0.250
B2 B 0.252 0.752 0.750
B3 B 0.748 0.248 0.750
B4 B 0.752 0.748 0.250
H1 H 0.034 0.219 0.286
H2 H 0.140 0.675 0.913
H3 H 0.175 0.640 0.587
H4 H 0.219 0.966 0.714
H5 H 0.281 0.466 0.214
H6 H 0.325 0.140 0.087
H7 H 0.360 0.175 0.413
H8 H 0.466 0.719 0.786
H9 H 0.534 0.281 0.786
H10 H 0.640 0.825 0.413
H11 H 0.675 0.860 0.087
H12 H 0.719 0.534 0.214
H13 H 0.781 0.034 0.714
H14 H 0.825 0.360 0.587
H15 H 0.860 0.325 0.913
H16 H 0.966 0.781 0.286
```

Largest 10 diffraction maxima, by angle, 2θ = 10–90°:
- 21.8 deg, d = 4.079 Å, intensity 100.0
- 22.5 deg, d = 3.960 Å, intensity 45.8
- 37.8 deg, d = 2.379 Å, intensity 21.7
- 39.0 deg, d = 2.308 Å, intensity 41.6
- 44.4 deg, d = 2.039 Å, intensity 22.0
- 48.7 deg, d = 1.870 Å, intensity 11.1
- 51.6 deg, d = 1.771 Å, intensity 9.5
- 59.4 deg, d = 1.555 Å, intensity 10.6
- 60.9 deg, d = 1.522 Å, intensity 10.5
- 61.7 deg, d = 1.503 Å, intensity 9.9